The following is a calculated powder XRD pattern of TbSc3Cd. It was derived from a cell relaxed with GGA-PBE, using CuKα.

```
TbSc3Cd
1.0
5.1475 0.0000 0.0000
0.0000 6.3538 0.0000
-1.9431 0.0000 7.6708
Tb Sc Cd
2 6 2
direct
0.1978 0.2500 0.3508
0.8022 0.7500 0.6492
0.2252 0.7500 0.4368
0.3549 0.0096 0.7926
0.3549 0.4904 0.7926
0.6451 0.5096 0.2074
0.6451 0.9904 0.2074
0.7748 0.2500 0.5632
0.0741 0.7500 0.0535
0.9259 0.2500 0.9465
```

Main lines, in order of rising 2θ (2θ from 10° to 90°):
2θ (°)	I_rel
18.68	413
27.16	745
28.09	481
32.76	544
33.44	545
33.95	1000
34.98	709
35.29	526
35.76	499
38.12	349
43.21	328
45.50	555

***

The following is a calculated powder XRD pattern of TbSc5Cd3. It was derived from a cell relaxed with GGA-PBE, using CuKα.

```
TbSc5Cd3
1.0
8.7263 0.0000 0.0000
-4.3632 7.5572 0.0000
0.0000 0.0000 6.5197
Tb Sc Cd
2 10 6
direct
0.0000 0.0000 0.0000
0.0000 0.0000 0.5000
0.0000 0.3394 0.2500
0.0000 0.6606 0.7500
0.3333 0.6667 0.0000
0.3333 0.6667 0.5000
0.3394 0.0000 0.2500
0.3394 0.3394 0.7500
0.6606 0.0000 0.7500
0.6606 0.6606 0.2500
0.6667 0.3333 0.0000
0.6667 0.3333 0.5000
0.0000 0.3345 0.7500
0.0000 0.6655 0.2500
0.3345 0.0000 0.7500
0.3345 0.3345 0.2500
0.6655 0.0000 0.2500
0.6655 0.6655 0.7500
```

Main lines, in order of rising 2θ (2θ from 10° to 90°):
2θ (°)	I_rel
11.71	290
24.55	325
34.34	998
35.64	1000
45.51	98
50.33	322
56.46	83
63.19	314
64.02	166
68.58	269
75.48	101
85.62	133

***

The following is a calculated powder XRD pattern of Tb3ScCd4. It was derived from a cell relaxed with GGA-PBE, using CuKα.

```
Tb3ScCd4
1.0
3.6851 0.0000 0.0000
0.0000 3.6851 0.0000
0.0000 0.0000 14.9804
Tb Sc Cd
3 1 4
direct
0.0000 0.0000 0.0000
0.0000 0.0000 0.2573
0.0000 0.0000 0.7427
0.0000 0.0000 0.5000
0.5000 0.5000 0.1280
0.5000 0.5000 0.3896
0.5000 0.5000 0.6104
0.5000 0.5000 0.8720
```

Main lines, in order of rising 2θ (2θ from 10° to 90°):
2θ (°)	I_rel
30.14	70
34.13	1000
34.42	511
48.62	79
49.47	180
60.92	159
61.47	352
71.89	96
72.56	56
81.39	55
82.67	76
82.83	79

***

The following is a calculated powder XRD pattern of TbSc12Cd3. It was derived from a cell relaxed with GGA-PBE, using CuKα.

```
TbSc12Cd3
1.0
4.5414 0.0000 0.0000
0.0000 4.5414 0.0000
0.0000 0.0000 18.4697
Tb Sc Cd
1 12 3
direct
0.0000 0.0000 0.0000
0.0000 0.5000 0.1326
0.0000 0.5000 0.3782
0.0000 0.5000 0.6218
0.0000 0.5000 0.8674
0.5000 0.0000 0.1326
0.5000 0.0000 0.3782
0.5000 0.0000 0.6218
0.5000 0.0000 0.8674
0.5000 0.5000 0.0000
0.5000 0.5000 0.2572
0.5000 0.5000 0.5000
0.5000 0.5000 0.7428
0.0000 0.0000 0.2577
0.0000 0.0000 0.5000
0.0000 0.0000 0.7423
```

Main lines, in order of rising 2θ (2θ from 10° to 90°):
2θ (°)	I_rel
19.22	95
19.55	185
27.55	163
27.78	81
34.01	1000
39.01	158
39.69	323
56.87	195
57.39	102
67.48	103
68.41	233
71.58	95

***

The following is a calculated powder XRD pattern of Tb3ScCd12. It was derived from a cell relaxed with GGA-PBE, using CuKα.

```
Tb3ScCd12
1.0
4.4960 0.0000 0.0000
0.0000 4.4960 0.0000
0.0000 0.0000 18.8136
Tb Sc Cd
3 1 12
direct
0.0000 0.0000 0.0000
0.0000 0.0000 0.2546
0.0000 0.0000 0.7454
0.0000 0.0000 0.5000
0.0000 0.5000 0.1273
0.0000 0.5000 0.3812
0.0000 0.5000 0.6188
0.0000 0.5000 0.8727
0.5000 0.0000 0.1273
0.5000 0.0000 0.3812
0.5000 0.0000 0.6188
0.5000 0.0000 0.8727
0.5000 0.5000 0.0000
0.5000 0.5000 0.2550
0.5000 0.5000 0.5000
0.5000 0.5000 0.7450
```

Main lines, in order of rising 2θ (2θ from 10° to 90°):
2θ (°)	I_rel
31.55	16
34.04	1000
38.27	175
40.11	319
56.64	215
58.02	104
61.57	13
66.50	125
69.01	241
71.66	107
81.94	16
86.61	34

***

The following is a calculated powder XRD pattern of Sc4CdTc2. It was derived from a cell relaxed with GGA-PBE, using CuKα.

```
Sc4CdTc2
1.0
2.4565 -4.2561 0.0000
2.4565 4.2561 0.0000
0.0000 0.0000 13.4101
Sc Cd Tc
8 2 4
direct
0.0000 0.0000 0.0000
0.0000 0.0000 0.5000
0.3331 0.6669 0.6272
0.3331 0.6669 0.8728
0.3338 0.6662 0.2500
0.6662 0.3338 0.7500
0.6669 0.3331 0.1272
0.6669 0.3331 0.3728
0.0005 0.9995 0.2500
0.9995 0.0005 0.7500
0.3335 0.6665 0.0547
0.3335 0.6665 0.4453
0.6665 0.3335 0.5547
0.6665 0.3335 0.9453
```

Main lines, in order of rising 2θ (2θ from 10° to 90°):
2θ (°)	I_rel
24.78	345
26.59	76
34.04	263
36.57	1000
39.73	466
45.79	101
50.82	79
55.10	171
55.59	97
65.84	163
67.96	176
77.74	99

***

The following is a calculated powder XRD pattern of ScCdTc4. It was derived from a cell relaxed with GGA-PBE, using CuKα.

```
ScCdTc4
1.0
0.0000 3.7066 3.7066
3.7066 0.0000 3.7066
3.7066 3.7066 0.0000
Sc Cd Tc
1 1 4
direct
0.0000 0.0000 0.0000
0.2500 0.2500 0.2500
0.1263 0.6246 0.6246
0.6246 0.1263 0.6246
0.6246 0.6246 0.1263
0.6246 0.6246 0.6246
```

Main lines, in order of rising 2θ (2θ from 10° to 90°):
2θ (°)	I_rel
20.75	196
24.01	44
34.21	201
40.35	1000
42.23	484
49.16	83
53.91	44
61.25	68
65.42	303
72.07	265
85.99	107
87.23	175

***

The following is a calculated powder XRD pattern of ScCd2Te. It was derived from a cell relaxed with GGA-PBE, using CuKα.

```
ScCd2Te
1.0
5.1383 -1.9289 0.0000
5.1383 1.9289 0.0000
-1.7616 0.0000 4.9798
Sc Cd Te
1 2 1
direct
0.0000 0.0000 0.0000
0.5103 0.5103 0.5257
0.7590 0.7590 0.3790
0.2749 0.2749 0.9275
```

Main lines, in order of rising 2θ (2θ from 10° to 90°):
2θ (°)	I_rel
28.84	281
32.53	901
34.58	241
36.13	1000
37.12	379
42.51	124
44.85	116
47.12	197
58.49	163
61.45	164
61.73	156
68.49	114

***

The following is a calculated powder XRD pattern of Th4Sc5Cd. It was derived from a cell relaxed with GGA-PBE, using CuKα.

```
Th4Sc5Cd
1.0
3.4883 0.0000 0.0000
0.0000 3.4883 0.0000
0.0000 0.0000 22.2701
Th Sc Cd
4 5 1
direct
0.0000 0.0000 0.1043
0.0000 0.0000 0.3136
0.0000 0.0000 0.6864
0.0000 0.0000 0.8957
0.5000 0.5000 0.0000
0.5000 0.5000 0.2088
0.5000 0.5000 0.4154
0.5000 0.5000 0.5846
0.5000 0.5000 0.7912
0.0000 0.0000 0.5000
```

Main lines, in order of rising 2θ (2θ from 10° to 90°):
2θ (°)	I_rel
19.93	331
25.54	403
30.23	94
32.61	1000
36.42	409
40.51	102
41.86	213
48.50	111
52.43	213
55.60	162
56.68	91
63.15	297

***

The following is a calculated powder XRD pattern of ThSc2Cd4. It was derived from a cell relaxed with GGA-PBE, using CuKα.

```
ThSc2Cd4
1.0
5.0692 0.0000 0.0000
0.0000 5.0692 0.0000
0.0000 0.0000 7.2404
Th Sc Cd
1 2 4
direct
0.0000 0.0000 0.0000
0.0000 0.0000 0.5000
0.5000 0.5000 0.0000
0.0000 0.5000 0.2828
0.0000 0.5000 0.7172
0.5000 0.0000 0.2828
0.5000 0.0000 0.7172
```

Main lines, in order of rising 2θ (2θ from 10° to 90°):
2θ (°)	I_rel
17.49	253
21.40	106
27.77	346
30.34	136
35.23	1000
35.41	546
37.26	96
50.95	189
52.34	143
63.12	128
63.46	345
70.08	92

***

The following is a calculated powder XRD pattern of Sc2TlCd. It was derived from a cell relaxed with GGA-PBE, using CuKα.

```
Sc2TlCd
1.0
3.5531 0.0000 0.0000
0.0000 5.0519 0.0000
0.0000 0.0000 5.0514
Sc Tl Cd
2 1 1
direct
0.0000 0.0000 0.0000
0.0000 0.5000 0.4988
0.5000 0.0000 0.5002
0.5000 0.5000 0.9988
```

Main lines, in order of rising 2θ (2θ from 10° to 90°):
2θ (°)	I_rel
17.56	118
24.93	379
25.06	187
35.54	504
35.64	1000
43.98	176
51.14	174
57.74	162
63.89	351
64.08	174
75.48	107
86.10	155

***

The following is a calculated powder XRD pattern of Sc3Tl2Cd2. It was derived from a cell relaxed with GGA-PBE, using CuKα.

```
Sc3Tl2Cd2
1.0
4.9363 0.0000 0.0000
2.4617 4.2824 0.0000
2.4383 1.4143 8.2250
Sc Tl Cd
3 2 2
direct
0.0000 0.0000 0.0000
0.2516 0.2496 0.2482
0.7484 0.7504 0.7518
0.3844 0.3851 0.8455
0.6156 0.6149 0.1545
0.1290 0.1300 0.6099
0.8710 0.8700 0.3901
```

Main lines, in order of rising 2θ (2θ from 10° to 90°):
2θ (°)	I_rel
10.76	90
25.33	995
27.59	242
35.89	893
36.37	1000
44.84	225
51.95	203
52.16	100
59.00	135
65.08	202
65.22	100
65.40	116

***

The following is a calculated powder XRD pattern of ScTlCd. It was derived from a cell relaxed with GGA-PBE, using CuKα.

```
ScTlCd
1.0
4.5682 0.0000 0.0000
2.2829 5.6529 0.0000
0.0015 3.1580 5.4797
Sc Tl Cd
2 2 2
direct
0.0000 0.0000 0.0000
0.3426 0.3122 0.1796
0.0063 0.9868 0.5180
0.6686 0.6619 0.3095
0.3302 0.3382 0.6707
0.6815 0.6364 0.8326
```

Main lines, in order of rising 2θ (2θ from 10° to 90°):
2θ (°)	I_rel
16.18	230
24.05	286
33.74	1000
34.88	441
35.26	863
39.45	329
45.28	211
53.66	253
60.84	167
61.59	171
63.75	133
67.92	128

***

The following is a calculated powder XRD pattern of ScTlCd. It was derived from a cell relaxed with GGA-PBE, using CuKα.

```
ScTlCd
1.0
4.6109 0.0000 0.0000
0.0000 4.4943 0.0000
-2.2881 0.0000 6.7834
Sc Tl Cd
2 2 2
direct
0.1578 0.0000 0.3163
0.8422 0.0000 0.6837
0.0000 0.5000 0.0000
0.5000 0.0000 0.0000
0.3199 0.5000 0.6400
0.6801 0.5000 0.3600
```

Main lines, in order of rising 2θ (2θ from 10° to 90°):
2θ (°)	I_rel
13.05	212
26.28	83
28.50	197
34.20	1000
39.07	177
39.87	152
40.13	164
57.25	114
57.85	101
67.62	67
67.73	67
69.12	126